[1]
This entry pairs a crystal structure of CeAl2Cu3 with its computed X-ray powder pattern. Radiation: CuKα. Structure: a crystal structure in the Materials Project, relaxed with GGA-PBE.
No peak broadening, texture or thermal motion is included.

Atomic structure:
Unit cell a=5.3053 b=8.8572 c=4.1882 alpha=90.00 beta=90.00 gamma=90.00
Space group Cmmm (No. 65)
Unique sites:
Ce (0.0000, 0.0000, 0.0000) (multiplicity 2)
Al (0.2500, 0.2500, 0.5000) (multiplicity 4)
Cu (0.0000, 0.3360, 0.0000) (multiplicity 4)
Cu (0.0000, 0.5000, 0.5000) (multiplicity 2)

Most intense lines, 2θ = 10–80°, by angle:
hkl  2theta  intensity
0 0 1  21.2  27
1 1 1  29.0  40
2 0 0  33.8  31
1 3 0  34.8  29
2 2 0  39.6  18
2 0 1  40.2  30
1 3 1  41.1  100
0 0 2  43.2  29
3 3 1  65.4  24
1 3 3  77.8  19

=====

[2]
This entry pairs a crystal structure of CeAl10Fe2 with its computed X-ray powder pattern. Radiation: CuKα. Structure: a crystal structure in the Materials Project, relaxed with GGA-PBE.
No peak broadening, texture or thermal motion is included.

Atomic structure:
Unit cell a=8.9108 b=10.2002 c=8.9549 alpha=90.00 beta=90.00 gamma=90.00
Space group Cmcm (No. 63)
Unique sites:
Ce (0.0000, 0.1234, 0.2500) (multiplicity 4)
Al (0.0000, 0.1610, 0.5985) (multiplicity 8)
Al (0.0000, 0.3758, 0.0519) (multiplicity 8)
Al (0.1499, 0.3717, 0.7500) (multiplicity 8)
Al (0.2276, 0.0000, 0.0000) (multiplicity 8)
Al (0.2277, 0.3607, 0.2500) (multiplicity 8)
Fe (0.2500, 0.2500, 0.0000) (multiplicity 8)

Most intense lines, 2θ = 10–80°, by angle:
hkl  2theta  intensity
1 1 0  13.2  31
1 1 1  16.5  33
2 0 2  28.3  37
2 2 1  28.4  36
0 2 3  34.8  35
3 1 2  37.4  39
0 0 4  40.3  49
4 0 0  40.5  96
0 4 2  40.7  100
0 4 6  73.6  29

=====

[3]
This entry pairs a crystal structure of Ce2AlFe3 with its computed X-ray powder pattern. Radiation: CuKα. Structure: a crystal structure in the Materials Project, relaxed with GGA-PBE.
No peak broadening, texture or thermal motion is included.

Atomic structure:
Unit cell a=5.2685 b=5.2685 c=12.4512 alpha=90.00 beta=90.00 gamma=120.00
Space group R-3m (No. 166, hexagonal axes)
Unique sites:
Ce (0.0000, 0.0000, 0.1180) (multiplicity 6)
Al (0.0000, 0.0000, 0.5000) (multiplicity 3)
Fe (0.0000, 0.5000, 0.0000) (multiplicity 9)

Most intense lines, 2θ = 10–80°, by angle:
hkl  2theta  intensity
1 0 1  20.7  54
1 1 0  34.0  69
1 0 4  34.9  100
0 2 1  40.2  91
1 1 3  40.6  91
0 1 5  41.3  69
2 0 2  42.2  32
2 1 4  61.5  38
1 2 5  65.9  33
2 2 0  71.6  29

=====

[4]
This entry pairs a crystal structure of CeAlH2Ir with its computed X-ray powder pattern. Radiation: CuKα. Structure: a crystal structure in the Materials Project, relaxed with GGA-PBE.
No peak broadening, texture or thermal motion is included.

Atomic structure:
Unit cell a=4.3623 b=4.3623 c=8.2880 alpha=90.00 beta=90.00 gamma=120.00
Space group P6_3/mmc (No. 194)
Unique sites:
Ce (0.0000, 0.0000, 0.0000) (multiplicity 2)
Al (0.3333, 0.6667, 0.2500) (multiplicity 2)
H (0.3333, 0.6667, 0.5450) (multiplicity 4)
Ir (0.3333, 0.6667, 0.7500) (multiplicity 2)

Most intense lines, 2θ = 10–80°, by angle:
hkl  2theta  intensity
1 0 1  25.9  56
1 0 2  32.1  100
1 0 3  40.4  17
1 1 0  41.4  53
0 0 4  43.7  15
2 0 1  49.5  10
2 0 2  53.3  24
1 1 4  61.8  32
2 1 2  69.6  22
1 0 6  72.9  9

=====

[5]
This entry pairs a crystal structure of Ce2Al9Ir3 with its computed X-ray powder pattern. Radiation: CuKα. Structure: a crystal structure in the Materials Project, relaxed with GGA-PBE.
No peak broadening, texture or thermal motion is included.

Atomic structure:
Unit cell a=13.1732 b=7.6503 c=9.4483 alpha=90.00 beta=90.00 gamma=90.00
Space group Cmcm (No. 63)
Unique sites:
Ce (0.1638, 0.1675, 0.2500) (multiplicity 8)
Al (0.0000, 0.1276, 0.7500) (multiplicity 4)
Al (0.0000, 0.3353, 0.0550) (multiplicity 8)
Al (0.1034, 0.4419, 0.7500) (multiplicity 8)
Al (0.1658, 0.1684, 0.5739) (multiplicity 16)
Ir (0.0000, 0.0000, 0.0000) (multiplicity 4)
Ir (0.1720, 0.5000, 0.0000) (multiplicity 8)

Most intense lines, 2θ = 10–80°, by angle:
hkl  2theta  intensity
3 1 0  23.4  24
0 2 2  30.1  100
3 1 3  37.0  23
0 0 4  38.1  20
3 3 0  40.9  41
6 0 0  41.1  19
0 2 4  45.2  20
6 2 2  51.8  18
3 3 4  57.1  20
0 2 6  64.0  17

=====

Question: What is the formula in the second record?
Answer: CeAl10Fe2